Entry 1:
Li2BeTc: computed PXRD pattern (Cu Kα X-rays), based on a cell relaxed with PBE.

Structure:
Cell lengths 2.5394, 2.6959, 7.8079 Å; angles 90.00, 90.00, 90.00 degrees
Fractional coordinates of all 4 atoms:
Li1 0.0000 0.0000 0.0000
Li2 0.5000 0.5000 0.3014
Be1 0.5000 0.5000 0.7817
Tc1 0.0000 0.0000 0.5757

Principal peaks in the range 5 to 70 degrees two-theta, low angle first:
2theta	I/Imax
11.33	100
22.78	19
33.23	7
34.46	7
35.22	13
37.23	11
40.67	12
42.47	11
49.30	7
50.76	9

***

Entry 2:
HoMo2N4: computed PXRD pattern (Cu Kα X-rays), based on a cell relaxed with PBE.

Structure:
Cell lengths 5.2503, 5.2503, 10.1532 Å; angles 90.00, 90.00, 145.29 degrees
Fractional coordinates of all 14 atoms:
Ho1 0.1267 0.8733 0.7500
Ho2 0.8733 0.1267 0.2500
Mo1 0.3816 0.6184 0.5647
Mo2 0.3816 0.6184 0.9353
Mo3 0.6184 0.3816 0.0647
Mo4 0.6184 0.3816 0.4353
N1 0.0000 0.0000 0.0000
N2 0.0000 0.0000 0.5000
N3 0.2656 0.7344 0.1092
N4 0.2656 0.7344 0.3908
N5 0.4374 0.5626 0.7500
N6 0.5626 0.4374 0.2500
N7 0.7344 0.2656 0.6092
N8 0.7344 0.2656 0.8908

Principal peaks in the range 5 to 70 degrees two-theta, low angle first:
2theta	I/Imax
19.76	17
31.19	47
31.91	100
34.83	50
35.84	34
40.47	38
43.43	37
54.64	23
61.05	18
68.64	22

***

Entry 3:
La2Nd3Cd4: computed PXRD pattern (Cu Kα X-rays), based on a cell relaxed with PBE.

Structure:
Cell lengths 10.1290, 10.1290, 8.5162 Å; angles 90.00, 90.00, 139.67 degrees
Fractional coordinates of all 18 atoms:
La1 0.0916 0.9084 0.9051
La2 0.4084 0.5916 0.4051
La3 0.5916 0.4084 0.5949
La4 0.9084 0.0916 0.0949
Nd1 0.0000 0.0000 0.5000
Nd2 0.0018 0.4982 0.7500
Nd3 0.4982 0.0018 0.2500
Nd4 0.5000 0.5000 0.0000
Nd5 0.5018 0.9982 0.7500
Nd6 0.9982 0.5018 0.2500
Cd1 0.1618 0.8382 0.5088
Cd2 0.1740 0.3260 0.7500
Cd3 0.3260 0.1740 0.2500
Cd4 0.3382 0.6618 0.0088
Cd5 0.6618 0.3382 0.9912
Cd6 0.6740 0.8260 0.7500
Cd7 0.8260 0.6740 0.2500
Cd8 0.8382 0.1618 0.4912

Principal peaks in the range 5 to 70 degrees two-theta, low angle first:
2theta	I/Imax
28.14	24
28.71	59
29.20	34
32.93	23
33.18	100
35.30	53
37.04	31
38.35	29
58.54	44
68.68	20

***

Entry 4:
U6Al8Fe5Si5: computed PXRD pattern (Cu Kα X-rays), based on a cell relaxed with PBE.

Structure:
Cell lengths 10.3965, 10.3965, 10.3965 Å; angles 156.66, 108.44, 76.44 degrees
Fractional coordinates of all 24 atoms:
U1 0.1469 0.1469 0.0000
U2 0.1813 0.8684 0.3129
U3 0.4445 0.1316 0.3129
U4 0.5555 0.8684 0.6871
U5 0.8187 0.1316 0.6871
U6 0.8531 0.8531 0.0000
Al1 0.1408 0.0000 0.1408
Al2 0.2666 0.7666 0.5000
Al3 0.3356 0.5000 0.8356
Al4 0.3772 0.3772 0.0000
Al5 0.6228 0.6228 0.0000
Al6 0.6644 0.5000 0.1644
Al7 0.7334 0.2334 0.5000
Al8 0.8592 0.0000 0.8592
Fe1 0.0000 0.5000 0.5000
Fe2 0.0388 0.7375 0.3014
Fe3 0.4361 0.7375 0.6986
Fe4 0.5639 0.2625 0.3014
Fe5 0.9612 0.2625 0.6986
Si1 0.0536 0.4034 0.6503
Si2 0.2469 0.5966 0.6503
Si3 0.5000 0.0000 0.5000
Si4 0.7531 0.4034 0.3497
Si5 0.9464 0.5966 0.3497

Principal peaks in the range 5 to 70 degrees two-theta, low angle first:
2theta	I/Imax
21.79	87
22.61	45
26.79	65
27.43	46
30.64	82
37.89	100
43.01	41
44.38	45
44.82	28
63.84	32

***

Entry 5:
Ge2Br3: computed PXRD pattern (Cu Kα X-rays), based on a cell relaxed with PBE.

Structure:
Cell lengths 9.4188, 9.4188, 9.6349 Å; angles 109.53, 109.53, 24.10 degrees
Fractional coordinates of all 10 atoms:
Ge1 0.0704 0.0704 0.1981
Ge2 0.3682 0.3682 0.0185
Ge3 0.6318 0.6318 0.9815
Ge4 0.9296 0.9296 0.8019
Br1 0.0663 0.0663 0.7649
Br2 0.2260 0.2260 0.1580
Br3 0.3759 0.3759 0.6052
Br4 0.6241 0.6241 0.3948
Br5 0.7740 0.7740 0.8420
Br6 0.9337 0.9337 0.2351

Principal peaks in the range 5 to 70 degrees two-theta, low angle first:
2theta	I/Imax
9.77	47
18.76	21
27.45	18
30.52	46
30.99	21
31.70	100
36.47	18
43.21	41
46.17	22
56.36	16

***

Entry 6:
CsGeH6: computed PXRD pattern (Cu Kα X-rays), based on a cell relaxed with PBE.

Structure:
Cell lengths 5.1278, 5.1278, 5.1278 Å; angles 73.84, 73.84, 73.84 degrees
Fractional coordinates of all 8 atoms:
Cs1 0.0000 0.0000 0.0000
Ge1 0.5000 0.5000 0.5000
H1 0.0808 0.5077 0.5077
H2 0.4923 0.4923 0.9192
H3 0.4923 0.9192 0.4923
H4 0.5077 0.0808 0.5077
H5 0.5077 0.5077 0.0808
H6 0.9192 0.4923 0.4923

Principal peaks in the range 5 to 70 degrees two-theta, low angle first:
2theta	I/Imax
23.14	100
28.99	57
36.55	30
37.42	31
47.31	15
48.01	28
51.38	11
56.44	17
58.25	16
65.27	11

***

Entry 7:
FeBrCl: computed PXRD pattern (Cu Kα X-rays), based on a cell relaxed with PBE.

Structure:
Cell lengths 3.6222, 3.6222, 6.6073 Å; angles 90.00, 90.00, 120.00 degrees
Fractional coordinates of all 3 atoms:
Fe1 0.0000 0.0000 0.0000
Br1 0.3333 0.6667 0.2346
Cl1 0.6667 0.3333 0.7956

Principal peaks in the range 5 to 70 degrees two-theta, low angle first:
2theta	I/Imax
13.40	83
28.45	8
31.57	100
39.62	63
50.38	29
50.64	29
52.38	14
60.69	14
63.67	6
65.93	13

***

Entry 8:
Sc6Cd2CO: computed PXRD pattern (Cu Kα X-rays), based on a cell relaxed with PBE.

Structure:
Cell lengths 6.3818, 6.3818, 6.3818 Å; angles 60.00, 60.00, 60.00 degrees
Fractional coordinates of all 10 atoms:
Sc1 0.2480 0.2480 0.7520
Sc2 0.2480 0.7520 0.2480
Sc3 0.2480 0.7520 0.7520
Sc4 0.7520 0.2480 0.2480
Sc5 0.7520 0.2480 0.7520
Sc6 0.7520 0.7520 0.2480
Cd1 0.2500 0.2500 0.2500
Cd2 0.7500 0.7500 0.7500
C1 0.0000 0.0000 0.0000
O1 0.5000 0.5000 0.5000

Principal peaks in the range 5 to 70 degrees two-theta, low angle first:
2theta	I/Imax
19.67	15
27.96	33
34.42	100
39.96	60
44.92	9
49.48	13
57.79	37
61.66	4
65.40	5
69.03	35

***

Entry 9:
TePd23Pt6: computed PXRD pattern (Cu Kα X-rays), based on a cell relaxed with PBE.

Structure:
Cell lengths 9.6324, 9.6324, 9.6324 Å; angles 131.74, 131.74, 70.63 degrees
Fractional coordinates of all 30 atoms:
Te1 0.0000 0.0000 0.0000
Pd1 0.0000 0.0000 0.5000
Pd2 0.0000 0.5000 0.0000
Pd3 0.0000 0.5000 0.5000
Pd4 0.1214 0.3725 0.7489
Pd5 0.1253 0.8708 0.2545
Pd6 0.1292 0.3837 0.2545
Pd7 0.1292 0.8747 0.7455
Pd8 0.3725 0.1214 0.7489
Pd9 0.3725 0.6236 0.2511
Pd10 0.3764 0.6275 0.7489
Pd11 0.3837 0.1292 0.2545
Pd12 0.5000 0.0000 0.0000
Pd13 0.5000 0.0000 0.5000
Pd14 0.5000 0.5000 0.0000
Pd15 0.5000 0.5000 0.5000
Pd16 0.6163 0.8708 0.7455
Pd17 0.6236 0.3725 0.2511
Pd18 0.6275 0.3764 0.7489
Pd19 0.6275 0.8786 0.2511
Pd20 0.8708 0.1253 0.2545
Pd21 0.8708 0.6163 0.7455
Pd22 0.8747 0.1292 0.7455
Pd23 0.8786 0.6275 0.2511
Pt1 0.2509 0.2509 0.0000
Pt2 0.2509 0.2509 0.5019
Pt3 0.2509 0.7491 0.0000
Pt4 0.7491 0.2509 0.0000
Pt5 0.7491 0.7491 0.0000
Pt6 0.7491 0.7491 0.4981

Principal peaks in the range 5 to 70 degrees two-theta, low angle first:
2theta	I/Imax
11.26	4
15.92	5
19.54	6
22.59	3
27.79	3
34.18	3
37.92	3
39.67	100
46.14	49
67.30	31

***

Entry 10:
RbGeSbSe3: computed PXRD pattern (Cu Kα X-rays), based on a cell relaxed with PBE.

Structure:
Cell lengths 8.9157, 4.0625, 11.4406 Å; angles 90.00, 111.14, 90.00 degrees
Fractional coordinates of all 12 atoms:
Rb1 0.2408 0.2500 0.2862
Rb2 0.7592 0.7500 0.7138
Ge1 0.1242 0.2500 0.5591
Ge2 0.8758 0.7500 0.4409
Sb1 0.3651 0.7500 0.8461
Sb2 0.6349 0.2500 0.1539
Se1 0.1113 0.2500 0.7732
Se2 0.3279 0.7500 0.5803
Se3 0.3926 0.7500 0.1010
Se4 0.6074 0.2500 0.8990
Se5 0.6721 0.2500 0.4197
Se6 0.8887 0.7500 0.2268

Principal peaks in the range 5 to 70 degrees two-theta, low angle first:
2theta	I/Imax
10.88	85
27.04	32
30.77	100
31.30	58
34.59	18
37.64	21
43.76	25
44.60	28
45.16	35
55.50	22

***

Entry 11:
Ac4La3Dy4: computed PXRD pattern (Cu Kα X-rays), based on a cell relaxed with PBE.

Structure:
Cell lengths 19.0623, 19.0623, 3.7479 Å; angles 95.61, 95.61, 17.89 degrees
Fractional coordinates of all 11 atoms:
Ac1 0.0000 0.0000 0.0000
Ac2 0.1899 0.1899 0.6900
Ac3 0.3739 0.3739 0.8750
Ac4 0.5558 0.5558 0.5553
La1 0.2838 0.2838 0.2848
La2 0.6446 0.6446 0.1443
La3 0.9080 0.9080 0.4087
Dy1 0.0985 0.0985 0.0973
Dy2 0.4585 0.4585 0.4584
Dy3 0.7352 0.7352 0.2360
Dy4 0.8154 0.8154 0.8157

Principal peaks in the range 5 to 70 degrees two-theta, low angle first:
2theta	I/Imax
28.58	30
29.08	35
29.77	67
30.14	56
30.26	100
31.67	27
42.38	26
53.61	23
53.84	17
58.29	51

***

Entry 12:
CeSm2Pb9: computed PXRD pattern (Cu Kα X-rays), based on a cell relaxed with PBE.

Structure:
Cell lengths 4.9146, 4.9146, 14.7524 Å; angles 90.00, 90.00, 90.00 degrees
Fractional coordinates of all 12 atoms:
Ce1 0.0000 0.0000 0.0000
Sm1 0.0000 0.0000 0.3297
Sm2 0.0000 0.0000 0.6703
Pb1 0.0000 0.5000 0.1662
Pb2 0.0000 0.5000 0.5000
Pb3 0.0000 0.5000 0.8338
Pb4 0.5000 0.0000 0.1662
Pb5 0.5000 0.0000 0.5000
Pb6 0.5000 0.0000 0.8338
Pb7 0.5000 0.5000 0.0000
Pb8 0.5000 0.5000 0.3336
Pb9 0.5000 0.5000 0.6664

Principal peaks in the range 5 to 70 degrees two-theta, low angle first:
2theta	I/Imax
18.05	1
25.63	1
31.52	100
36.56	51
41.06	1
45.18	1
52.67	36
56.13	1
62.69	43
65.82	13